No. 1
NaHfGaP2SO12: theoretical X-ray powder pattern (Cu Ka), based on DFT lattice parameters and positions (GGA-PBE).

Most intense lines, 2θ = 10–80°, low angle first:
6.311 Å, 2θ = 14.03°, I = 67, (1 1 -1); 4.522 Å, 2θ = 19.63°, I = 83, (1 1 1); 4.362 Å, 2θ = 20.36°, I = 51, (0 2 0); 4.337 Å, 2θ = 20.48°, I = 100, (3 1 -1); 3.786 Å, 2θ = 23.50°, I = 61, (0 2 1); 3.156 Å, 2θ = 28.28°, I = 53, (2 2 -2)

Crystal structure
```
data_NaHfGaP2SO12
_cell_length_a 14.996
_cell_length_b 8.724
_cell_length_c 9.159
_cell_angle_alpha 90.00
_cell_angle_beta 124.09
_cell_angle_gamma 90.00
_space_group_name_H-M_alt 'C 1 c 1'
_space_group_IT_number 9
_space_group_name_Hall 'C -2yc'
loop_
_atom_site_label
_atom_site_type_symbol
_atom_site_fract_x
_atom_site_fract_y
_atom_site_fract_z
Na1 Na 0.000 0.243 0.000
Hf1 Hf 0.145 0.248 0.448
Ga1 Ga 0.347 0.271 0.065
P1 P 0.104 0.113 0.763
P2 P 0.253 0.459 0.261
S1 S 0.394 0.098 0.765
O1 O 0.003 0.188 0.737
O2 O 0.100 0.064 0.281
O3 O 0.107 0.136 0.598
O4 O 0.175 0.358 0.280
O5 O 0.183 0.441 0.596
O6 O 0.205 0.179 0.930
O7 O 0.301 0.171 0.603
O8 O 0.326 0.445 0.927
O9 O 0.329 0.354 0.243
O10 O 0.394 0.127 0.921
O11 O 0.398 0.068 0.241
O12 O 0.489 0.173 0.778
```

***

No. 2
Na4HfGaSi2PO12: theoretical X-ray powder pattern (Cu Ka), based on DFT lattice parameters and positions (GGA-PBE).

Most intense lines, 2θ = 10–80°, low angle first:
6.455 Å, 2θ = 13.72°, I = 52, (1 1 -1); 4.565 Å, 2θ = 19.45°, I = 76, (2 0 -2); 4.546 Å, 2θ = 19.53°, I = 75, (1 1 1); 4.516 Å, 2θ = 19.66°, I = 68, (3 1 -1); 2.888 Å, 2θ = 30.96°, I = 100, (3 1 -3); 2.624 Å, 2θ = 34.18°, I = 74, (3 3 -1)

Crystal structure
```
data_Na4HfGaSi2PO12
_cell_length_a 15.597
_cell_length_b 9.113
_cell_length_c 9.145
_cell_angle_alpha 90.00
_cell_angle_beta 125.35
_cell_angle_gamma 90.00
_space_group_name_H-M_alt 'C 1 c 1'
_space_group_IT_number 9
_space_group_name_Hall 'C -2yc'
loop_
_atom_site_label
_atom_site_type_symbol
_atom_site_fract_x
_atom_site_fract_y
_atom_site_fract_z
Na1 Na 0.000 0.059 0.000
Na2 Na 0.067 0.246 0.742
Na3 Na 0.135 0.427 0.501
Na4 Na 0.317 0.118 0.992
Hf1 Hf 0.216 0.249 0.196
Ga1 Ga 0.416 0.264 0.802
Si1 Si 0.172 0.108 0.504
Si2 Si 0.321 0.456 0.003
P1 P 0.465 0.102 0.507
O1 O 0.059 0.323 0.019
O2 O 0.070 0.187 0.482
O3 O 0.167 0.073 0.018
O4 O 0.174 0.128 0.328
O5 O 0.239 0.354 0.019
O6 O 0.243 0.440 0.327
O7 O 0.276 0.182 0.681
O8 O 0.369 0.177 0.338
O9 O 0.398 0.442 0.678
O10 O 0.400 0.350 0.987
O11 O 0.463 0.127 0.671
O12 O 0.468 0.065 0.984
```